Simulated powder XRD pattern
Compound: Mg5Sn
Radiation: copper Kα
Structure: a structure optimized by DFT (GGA-PBE)
Kinematic intensities with the Lorentz-polarization factor, no thermal factor.

Atomic structure:
a = 6.1830 Å, b = 6.1830 Å, c = 7.1567 Å
α = 103.24°, β = 103.24°, γ = 31.73°
Fractional positions:
Mg 0.0000 0.0000 0.0000
Mg 0.0514 0.0514 0.6000
Mg 0.3282 0.3282 0.6644
Mg 0.6658 0.6658 0.3299
Mg 0.7174 0.7174 0.9380
Sn 0.3865 0.3865 0.2726

Largest 12 diffraction maxima, by intensity, 2θ from 10° to 90°:
35.3°, 2.540 Å, I 100
12.7°, 6.951 Å, I 63
36.6°, 2.455 Å, I 56
15.3°, 5.776 Å, I 40
31.2°, 2.868 Å, I 37
17.5°, 5.076 Å, I 31
36.4°, 2.467 Å, I 27
38.9°, 2.317 Å, I 22
27.5°, 3.245 Å, I 21
57.9°, 1.592 Å, I 18
22.2°, 3.999 Å, I 18
33.1°, 2.707 Å, I 18